1.
Theoretical XRD peak list
Compound: Dy2Fe4IrC4
Radiation: copper Kα
Structure: a cell relaxed with PBE
Kinematic intensities with the Lorentz-polarization factor, no thermal factor.

Crystal structure
Cell: 7.036 5.741 5.407 Å, 78.20 53.01 48.79°
Positions (direct):
1 Dy 0.151 0.151 0.849
2 Dy 0.849 0.849 0.151
3 Fe 0.000 0.000 0.500
4 Fe 0.250 0.250 0.250
5 Fe 0.500 0.500 0.000
6 Fe 0.750 0.750 0.750
7 Ir 0.500 0.500 0.500
8 C 0.198 0.534 0.466
9 C 0.466 0.802 0.198
10 C 0.534 0.198 0.802
11 C 0.802 0.466 0.534

The 10 most intense peaks (2θ = 10–90°), in order of rising 2θ:
18.55 deg, I = 25; 32.89 deg, I = 100; 37.60 deg, I = 40; 40.46 deg, I = 65; 42.62 deg, I = 60; 58.12 deg, I = 20; 62.28 deg, I = 17; 68.82 deg, I = 14; 68.97 deg, I = 11; 69.79 deg, I = 14

---

2.
Theoretical XRD peak list
Compound: Lu2ReB6
Radiation: copper Kα
Structure: a cell relaxed with PBE
Kinematic intensities with the Lorentz-polarization factor, no thermal factor.

Crystal structure
Cell: 9.057 11.394 3.611 Å, 90.00 90.00 90.00°
Positions (direct):
1 Lu 0.056 0.130 0.000
2 Lu 0.177 0.414 0.000
3 Lu 0.323 0.914 0.000
4 Lu 0.444 0.630 0.000
5 Lu 0.556 0.370 0.000
6 Lu 0.677 0.086 0.000
7 Lu 0.823 0.586 0.000
8 Lu 0.944 0.870 0.000
9 Re 0.139 0.679 0.000
10 Re 0.361 0.179 0.000
11 Re 0.639 0.821 0.000
12 Re 0.861 0.321 0.000
13 B 0.019 0.288 0.500
14 B 0.053 0.566 0.500
15 B 0.099 0.972 0.500
16 B 0.131 0.816 0.500
17 B 0.206 0.235 0.500
18 B 0.249 0.080 0.500
19 B 0.251 0.580 0.500
20 B 0.294 0.735 0.500
21 B 0.369 0.316 0.500
22 B 0.401 0.472 0.500
23 B 0.447 0.066 0.500
24 B 0.481 0.788 0.500
25 B 0.519 0.212 0.500
26 B 0.553 0.934 0.500
27 B 0.599 0.528 0.500
28 B 0.631 0.684 0.500
29 B 0.706 0.265 0.500
30 B 0.749 0.420 0.500
31 B 0.751 0.920 0.500
32 B 0.794 0.765 0.500
33 B 0.869 0.184 0.500
34 B 0.901 0.028 0.500
35 B 0.947 0.434 0.500
36 B 0.981 0.712 0.500

The 10 most intense peaks (2θ = 10–90°), in order of rising 2θ:
24.66 deg, I = 100; 30.68 deg, I = 65; 31.41 deg, I = 21; 32.96 deg, I = 29; 33.60 deg, I = 24; 39.75 deg, I = 77; 40.33 deg, I = 25; 41.60 deg, I = 36; 42.12 deg, I = 30; 50.56 deg, I = 21

---

3.
Theoretical XRD peak list
Compound: RbRe3Si5
Radiation: copper Kα
Structure: a cell relaxed with PBE
Kinematic intensities with the Lorentz-polarization factor, no thermal factor.

Crystal structure
Cell: 5.205 5.205 8.928 Å, 90.00 90.00 120.00°
Positions (direct):
1 Rb 0.000 0.000 0.000
2 Re 0.000 0.500 0.500
3 Re 0.500 0.000 0.500
4 Re 0.500 0.500 0.500
5 Si 0.000 0.000 0.500
6 Si 0.333 0.667 0.264
7 Si 0.333 0.667 0.736
8 Si 0.667 0.333 0.264
9 Si 0.667 0.333 0.736

The 10 most intense peaks (2θ = 10–90°), in order of rising 2θ:
19.89 deg, I = 79; 22.09 deg, I = 75; 30.03 deg, I = 21; 40.00 deg, I = 50; 40.41 deg, I = 26; 41.31 deg, I = 59; 45.06 deg, I = 100; 50.82 deg, I = 35; 58.17 deg, I = 34; 76.75 deg, I = 21

---

4.
Theoretical XRD peak list
Compound: LaNd3Au4
Radiation: copper Kα
Structure: a cell relaxed with PBE
Kinematic intensities with the Lorentz-polarization factor, no thermal factor.

Crystal structure
Cell: 5.881 4.830 7.491 Å, 90.00 90.45 90.00°
Positions (direct):
1 La 0.000 0.000 0.000
2 Nd 0.215 0.000 0.498
3 Nd 0.499 0.500 0.132
4 Nd 0.712 0.500 0.629
5 Au 0.008 0.500 0.279
6 Au 0.208 0.500 0.769
7 Au 0.506 0.000 0.855
8 Au 0.705 0.000 0.357

The 10 most intense peaks (2θ = 10–90°), in order of rising 2θ:
30.19 deg, I = 100; 32.63 deg, I = 32; 32.81 deg, I = 29; 33.82 deg, I = 81; 33.99 deg, I = 88; 37.23 deg, I = 82; 37.70 deg, I = 78; 37.86 deg, I = 76; 64.91 deg, I = 29; 65.08 deg, I = 32

---

5.
Theoretical XRD peak list
Compound: BaGeSbPd2
Radiation: copper Kα
Structure: a cell relaxed with PBE
Kinematic intensities with the Lorentz-polarization factor, no thermal factor.

Crystal structure
Cell: 4.659 4.659 10.750 Å, 90.00 90.00 90.00°
Positions (direct):
1 Ba 0.250 0.250 0.242
2 Ba 0.750 0.750 0.758
3 Ge 0.250 0.750 0.000
4 Ge 0.750 0.250 0.000
5 Sb 0.250 0.250 0.630
6 Sb 0.750 0.750 0.370
7 Pd 0.250 0.250 0.890
8 Pd 0.250 0.750 0.500
9 Pd 0.750 0.250 0.500
10 Pd 0.750 0.750 0.110

The 10 most intense peaks (2θ = 10–90°), in order of rising 2θ:
27.07 deg, I = 26; 31.50 deg, I = 100; 31.86 deg, I = 98; 38.65 deg, I = 97; 43.46 deg, I = 34; 46.52 deg, I = 25; 50.68 deg, I = 52; 55.81 deg, I = 34; 65.72 deg, I = 24; 82.93 deg, I = 28

---

6.
Theoretical XRD peak list
Compound: TbNdBi4Au2
Radiation: copper Kα
Structure: a cell relaxed with PBE
Kinematic intensities with the Lorentz-polarization factor, no thermal factor.

Crystal structure
Cell: 4.640 4.640 9.994 Å, 90.00 90.00 90.00°
Positions (direct):
1 Tb 0.000 0.000 0.000
2 Nd 0.500 0.500 0.535
3 Bi 0.000 0.000 0.579
4 Bi 0.000 0.500 0.265
5 Bi 0.500 0.000 0.265
6 Bi 0.500 0.500 0.968
7 Au 0.000 0.500 0.776
8 Au 0.500 0.000 0.776

The 10 most intense peaks (2θ = 10–90°), in order of rising 2θ:
26.76 deg, I = 5; 32.65 deg, I = 100; 35.94 deg, I = 13; 38.51 deg, I = 6; 38.81 deg, I = 36; 53.93 deg, I = 16; 56.06 deg, I = 13; 62.54 deg, I = 5; 66.40 deg, I = 27; 68.41 deg, I = 8

---

7.
Theoretical XRD peak list
Compound: Lu3Ga2
Radiation: copper Kα
Structure: a cell relaxed with PBE
Kinematic intensities with the Lorentz-polarization factor, no thermal factor.

Crystal structure
Cell: 10.814 10.814 10.814 Å, 116.85 116.85 95.55°
Positions (direct):
1 Lu 0.068 0.931 0.270
2 Lu 0.069 0.339 0.137
3 Lu 0.146 0.646 0.500
4 Lu 0.161 0.431 0.863
5 Lu 0.169 0.331 0.500
6 Lu 0.203 0.932 0.863
7 Lu 0.297 0.161 0.730
8 Lu 0.331 0.831 0.162
9 Lu 0.339 0.203 0.270
10 Lu 0.354 0.854 0.500
11 Lu 0.431 0.568 0.270
12 Lu 0.432 0.703 0.863
13 Lu 0.568 0.297 0.137
14 Lu 0.569 0.432 0.730
15 Lu 0.646 0.146 0.500
16 Lu 0.661 0.797 0.730
17 Lu 0.669 0.169 0.838
18 Lu 0.703 0.839 0.270
19 Lu 0.797 0.068 0.137
20 Lu 0.831 0.669 0.500
21 Lu 0.839 0.569 0.137
22 Lu 0.854 0.354 0.500
23 Lu 0.931 0.661 0.863
24 Lu 0.932 0.069 0.730
25 Ga 0.000 0.000 0.000
26 Ga 0.024 0.878 0.500
27 Ga 0.117 0.617 0.735
28 Ga 0.122 0.622 0.146
29 Ga 0.250 0.250 0.000
30 Ga 0.378 0.524 0.500
31 Ga 0.383 0.117 0.500
32 Ga 0.476 0.976 0.854
33 Ga 0.500 0.500 0.000
34 Ga 0.524 0.024 0.146
35 Ga 0.617 0.883 0.500
36 Ga 0.622 0.476 0.500
37 Ga 0.750 0.750 0.000
38 Ga 0.878 0.378 0.854
39 Ga 0.883 0.383 0.265
40 Ga 0.976 0.122 0.500

The 10 most intense peaks (2θ = 10–90°), in order of rising 2θ:
33.19 deg, I = 86; 33.30 deg, I = 24; 33.57 deg, I = 32; 34.01 deg, I = 44; 35.18 deg, I = 100; 35.45 deg, I = 28; 35.61 deg, I = 20; 37.64 deg, I = 31; 55.48 deg, I = 21; 63.48 deg, I = 21

---

8.
Theoretical XRD peak list
Compound: LaPr2Si4Ir2Pd2
Radiation: copper Kα
Structure: a cell relaxed with PBE
Kinematic intensities with the Lorentz-polarization factor, no thermal factor.

Crystal structure
Cell: 12.813 12.813 12.813 Å, 161.41 161.02 26.69°
Positions (direct):
1 La 0.000 0.000 0.000
2 Pr 0.353 0.853 0.500
3 Pr 0.647 0.147 0.500
4 Si 0.199 0.699 0.500
5 Si 0.452 0.452 0.000
6 Si 0.548 0.548 0.000
7 Si 0.801 0.301 0.500
8 Ir 0.250 0.250 0.000
9 Ir 0.750 0.750 0.000
10 Pd 0.099 0.599 0.500
11 Pd 0.901 0.401 0.500

The 10 most intense peaks (2θ = 10–90°), in order of rising 2θ:
28.64 deg, I = 16; 33.18 deg, I = 18; 33.55 deg, I = 100; 38.87 deg, I = 10; 42.82 deg, I = 19; 43.73 deg, I = 18; 62.87 deg, I = 12; 68.00 deg, I = 11; 72.51 deg, I = 11; 73.83 deg, I = 10

---

9.
Theoretical XRD peak list
Compound: YTm2Lu4Te2Pd2
Radiation: copper Kα
Structure: a cell relaxed with PBE
Kinematic intensities with the Lorentz-polarization factor, no thermal factor.

Crystal structure
Cell: 9.279 9.279 9.279 Å, 155.76 67.05 118.56°
Positions (direct):
1 Y 0.000 0.000 0.000
2 Tm 0.287 0.417 0.870
3 Tm 0.547 0.417 0.130
4 Lu 0.309 0.626 0.684
5 Lu 0.620 0.265 0.355
6 Lu 0.910 0.265 0.645
7 Lu 0.942 0.626 0.316
8 Te 0.265 0.765 0.500
9 Te 0.663 0.663 0.000
10 Pd 0.167 0.930 0.237
11 Pd 0.693 0.930 0.763

The 10 most intense peaks (2θ = 10–90°), in order of rising 2θ:
30.25 deg, I = 42; 30.39 deg, I = 18; 33.25 deg, I = 63; 34.01 deg, I = 100; 34.51 deg, I = 59; 36.62 deg, I = 20; 38.49 deg, I = 24; 46.63 deg, I = 29; 51.31 deg, I = 19; 58.46 deg, I = 31

---

10.
Theoretical XRD peak list
Compound: ThZnB4
Radiation: copper Kα
Structure: a cell relaxed with PBE
Kinematic intensities with the Lorentz-polarization factor, no thermal factor.

Crystal structure
Cell: 5.271 5.271 5.271 Å, 144.49 119.73 71.95°
Positions (direct):
1 Th 0.000 0.000 0.000
2 Zn 0.500 0.500 0.000
3 B 0.062 0.740 0.322
4 B 0.418 0.740 0.678
5 B 0.582 0.260 0.322
6 B 0.938 0.260 0.678

The 10 most intense peaks (2θ = 10–90°), in order of rising 2θ:
19.74 deg, I = 66; 20.82 deg, I = 84; 29.70 deg, I = 24; 32.59 deg, I = 67; 33.87 deg, I = 29; 38.99 deg, I = 100; 40.10 deg, I = 48; 42.40 deg, I = 32; 54.46 deg, I = 32; 55.34 deg, I = 24

---

11.
Theoretical XRD peak list
Compound: RbErMgSe3
Radiation: copper Kα
Structure: a cell relaxed with PBE
Kinematic intensities with the Lorentz-polarization factor, no thermal factor.

Crystal structure
Cell: 9.248 4.236 10.207 Å, 90.00 109.46 90.00°
Positions (direct):
1 Rb 0.218 0.250 0.237
2 Rb 0.782 0.750 0.763
3 Er 0.331 0.750 0.869
4 Er 0.669 0.250 0.131
5 Mg 0.086 0.250 0.612
6 Mg 0.914 0.750 0.388
7 Se 0.118 0.250 0.867
8 Se 0.206 0.750 0.547
9 Se 0.473 0.750 0.156
10 Se 0.527 0.250 0.844
11 Se 0.794 0.250 0.453
12 Se 0.882 0.750 0.133

The 10 most intense peaks (2θ = 10–90°), in order of rising 2θ:
11.19 deg, I = 76; 27.81 deg, I = 32; 28.69 deg, I = 100; 29.40 deg, I = 35; 32.01 deg, I = 16; 32.80 deg, I = 25; 39.24 deg, I = 20; 42.15 deg, I = 31; 42.69 deg, I = 25; 46.76 deg, I = 26

---

12.
Theoretical XRD peak list
Compound: SmBiN2O
Radiation: copper Kα
Structure: a cell relaxed with PBE
Kinematic intensities with the Lorentz-polarization factor, no thermal factor.

Crystal structure
Cell: 3.723 6.698 6.114 Å, 90.00 90.00 90.00°
Positions (direct):
1 Sm 0.000 0.144 0.000
2 Sm 0.000 0.856 0.500
3 Bi 0.500 0.332 0.537
4 Bi 0.500 0.668 0.037
5 N 0.000 0.194 0.605
6 N 0.000 0.806 0.105
7 N 0.500 0.381 0.905
8 N 0.500 0.619 0.405
9 O 0.500 0.097 0.269
10 O 0.500 0.903 0.769

The 10 most intense peaks (2θ = 10–90°), in order of rising 2θ:
27.41 deg, I = 34; 29.21 deg, I = 44; 30.43 deg, I = 63; 31.13 deg, I = 100; 40.48 deg, I = 28; 47.48 deg, I = 26; 48.93 deg, I = 15; 53.02 deg, I = 24; 56.73 deg, I = 29; 58.72 deg, I = 21